# 1
For BaBe7, DFT lattice parameters and positions (GGA-PBE) gives the theoretical PXRD pattern in this record (Cu Kα, 1.54184 Å).
Kinematic intensities with the Lorentz-polarization factor, no thermal factor.

Largest 8 diffraction maxima, most intense first, 15 to 90 degrees two-theta:
hkl  2θ/deg  I (rel.)
1 1 1  20.8  100
3 1 1  40.4  55
2 0 0  24.0  53
2 2 0  34.2  43
2 2 2  42.3  30
3 3 1  54.0  23
4 2 0  55.5  22
5 1 1  65.5  18

Structure:
abc: 7.4075 7.4075 7.4075
angles: 90.00 90.00 90.00
Space group Fm-3m (No. 225)
Inequivalent atoms, fractional coordinates:
Ba 0.0000 0.0000 0.0000 [4 per cell]
Be 0.0000 0.0000 0.5000 [4 per cell]
Be 0.0000 0.2500 0.2500 [24 per cell]



# 2
For BaBe2, DFT lattice parameters and positions (GGA-PBE) gives the theoretical PXRD pattern in this record (Cu Kα, 1.54184 Å).
Kinematic intensities with the Lorentz-polarization factor, no thermal factor.

Largest 8 diffraction maxima, most intense first, 15 to 90 degrees two-theta:
hkl  2θ/deg  I (rel.)
1 1 -1  26.7  100
3 1 0  33.0  65
2 0 1  25.5  57
2 0 -2  28.5  46
4 0 -1  29.8  44
2 0 -1  17.3  35
1 1 0  24.0  35
1 1 2  41.2  31

Structure:
abc: 12.0760 3.9358 6.3670
angles: 90.00 111.46 90.00
Space group C2/m (No. 12)
Inequivalent atoms, fractional coordinates:
Ba 0.1644 0.0000 0.1805 [4 per cell]
Be 0.0341 0.5000 0.6718 [4 per cell]
Be 0.0807 0.0000 0.6235 [4 per cell]